1.
SmMgTlIn: calculated powder X-ray diffraction pattern (Cu Kα (λ = 1.5418 Å)), based on the GGA-PBE geometry in Alexandria.
Lines closer than 0.1° are merged.

Structure:
a b c (Å): 4.5769 4.7147 4.7467
angles (deg): 90.00 90.00 90.00
Sites, in units of the cell vectors:
Sm: 0.0000 0.0000 0.0000
Mg: 0.0000 0.5000 0.5000
Tl: 0.5000 0.0000 0.5000
In: 0.5000 0.5000 0.0000

Peak list (10 most intense, 2θ from 10° to 90°, in order of falling intensity)
- d = 2.701 Å, I = 100
- d = 2.373 Å, I = 17
- d = 4.715 Å, I = 17
- d = 2.357 Å, I = 17
- d = 2.288 Å, I = 16
- d = 3.294 Å, I = 15
- d = 1.425 Å, I = 14
- d = 1.418 Å, I = 14
- d = 1.388 Å, I = 13
- d = 1.673 Å, I = 12

=====

2.
Tb2Pd5Pt4: calculated powder X-ray diffraction pattern (Cu Kα (λ = 1.5418 Å)), based on the GGA-PBE geometry in Alexandria.
Lines closer than 0.1° are merged.

Structure:
a b c (Å): 5.8579 5.8579 8.6444
angles (deg): 121.68 121.68 56.44
Sites, in units of the cell vectors:
Tb: 0.0712 0.0712 0.2696
Tb: 0.9288 0.9288 0.7304
Pd: 0.0788 0.5952 0.3249
Pd: 0.4048 0.9212 0.6751
Pd: 0.5000 0.5000 0.0000
Pd: 0.5952 0.0788 0.3249
Pd: 0.9212 0.4048 0.6751
Pt: 0.2540 0.2540 0.0149
Pt: 0.3937 0.3937 0.6327
Pt: 0.6063 0.6063 0.3673
Pt: 0.7460 0.7460 0.9851

Peak list (10 most intense, 2θ from 10° to 90°, in order of falling intensity)
- d = 2.419 Å, I = 100
- d = 2.302 Å, I = 90
- d = 1.997 Å, I = 56
- d = 2.314 Å, I = 44
- d = 2.070 Å, I = 33
- d = 4.140 Å, I = 29
- d = 1.462 Å, I = 26
- d = 2.770 Å, I = 24
- d = 2.470 Å, I = 19
- d = 1.385 Å, I = 19

=====

3.
UCoSi2Ir: calculated powder X-ray diffraction pattern (Cu Kα (λ = 1.5418 Å)), based on the GGA-PBE geometry in Alexandria.
Lines closer than 0.1° are merged.

Structure:
a b c (Å): 3.9418 3.9418 9.9896
angles (deg): 90.00 90.00 90.00
Sites, in units of the cell vectors:
U: 0.0000 0.0000 0.0000
U: 0.5000 0.5000 0.5000
Co: 0.0000 0.5000 0.2500
Co: 0.5000 0.0000 0.7500
Si: 0.0000 0.0000 0.3813
Si: 0.0000 0.0000 0.6187
Si: 0.5000 0.5000 0.1187
Si: 0.5000 0.5000 0.8813
Ir: 0.0000 0.5000 0.7500
Ir: 0.5000 0.0000 0.2500

Peak list (10 most intense, 2θ from 10° to 90°, in order of falling intensity)
- d = 2.434 Å, I = 100
- d = 3.667 Å, I = 61
- d = 2.544 Å, I = 41
- d = 1.971 Å, I = 33
- d = 1.209 Å, I = 23
- d = 2.497 Å, I = 21
- d = 1.547 Å, I = 19
- d = 1.558 Å, I = 19
- d = 1.429 Å, I = 18
- d = 1.736 Å, I = 16

=====

Copy entry 1 word for word.
SmMgTlIn: calculated powder X-ray diffraction pattern (Cu Kα (λ = 1.5418 Å)), based on the GGA-PBE geometry in Alexandria.
Lines closer than 0.1° are merged.

Structure:
a b c (Å): 4.5769 4.7147 4.7467
angles (deg): 90.00 90.00 90.00
Sites, in units of the cell vectors:
Sm: 0.0000 0.0000 0.0000
Mg: 0.0000 0.5000 0.5000
Tl: 0.5000 0.0000 0.5000
In: 0.5000 0.5000 0.0000

Peak list (10 most intense, 2θ from 10° to 90°, in order of falling intensity)
- d = 2.701 Å, I = 100
- d = 2.373 Å, I = 17
- d = 4.715 Å, I = 17
- d = 2.357 Å, I = 17
- d = 2.288 Å, I = 16
- d = 3.294 Å, I = 15
- d = 1.425 Å, I = 14
- d = 1.418 Å, I = 14
- d = 1.388 Å, I = 13
- d = 1.673 Å, I = 12